The following is a computed powder X-ray diffraction pattern of V2CoH3. It was derived from a DFT-relaxed cell (PBE, Alexandria), using Cu Kα, 1.54184 Å.

Atomic structure:
```
data_V2CoH3
_symmetry_space_group_name_H-M 'C 1 2/m 1'
_symmetry_Int_Tables_number 12
_cell_length_a 4.7000
_cell_length_b 8.1008
_cell_length_c 4.7358
_cell_angle_alpha 90.00
_cell_angle_beta 110.00
_cell_angle_gamma 90.00
loop_
_symmetry_equiv_pos_as_xyz
'x,y,z'
'-x,-y,-z'
'-x,y,-z'
'x,-y,z'
'x+1/2,y+1/2,z'
'-x+1/2,-y+1/2,-z'
'-x+1/2,y+1/2,-z'
'x+1/2,-y+1/2,z'
loop_
_atom_site_label
_atom_site_type_symbol
_atom_site_fract_x
_atom_site_fract_y
_atom_site_fract_z
V1 V 0.0000 0.0000 0.0000
V2 V 0.0000 0.1673 0.5000
V3 V 0.0000 0.5000 0.5000
Co1 Co 0.0000 0.3334 0.0000
H1 H 0.2441 0.5000 0.2413
H2 H 0.2457 0.1674 0.2473
```

Largest 9 diffraction maxima, in order of rising 2θ, 2θ = 10–80°:
2θ 20.0, I = 1, (0 0 1); 2θ 40.5, I = 34, (0 0 2); 2θ 40.8, I = 100, (2 0 0); 2θ 47.0, I = 23, (2 0 -2); 2θ 47.6, I = 45, (1 3 1); 2θ 68.9, I = 13, (1 3 -3); 2θ 69.4, I = 13, (3 3 -1); 2θ 69.5, I = 6, (2 0 2); 2θ 69.6, I = 6, (0 6 0)